1.
# FeRe5
Calculated X-ray diffraction stick pattern, Cu Kα, 1.54184 Å. Input: a DFT-relaxed cell (PBE, Alexandria).
No peak broadening, texture or thermal motion is included.

Crystal structure
Unit cell a=5.9489 b=5.9489 c=10.1771 alpha=90.00 beta=90.00 gamma=90.00
Space group I4/mcm (No. 140)
Inequivalent atoms, fractional coordinates:
Fe 0.0000 0.0000 0.2500 (multiplicity 4)
Re 0.0000 0.0000 0.0000 (multiplicity 4)
Re 0.1515 0.3485 0.1383 (multiplicity 16)

Top 12 peaks for 2θ from 10° to 80°, most intense first:
2θ 34.9, d = 2.573 Å, rel. 100, (2 1 1)
2θ 43.2, d = 2.093 Å, rel. 90, (2 1 3)
2θ 48.4, d = 1.881 Å, rel. 58, (3 1 0)
2θ 41.5, d = 2.177 Å, rel. 48, (1 1 4)
2θ 47.0, d = 1.933 Å, rel. 33, (2 0 4)
2θ 77.8, d = 1.228 Å, rel. 26, (3 3 4)
2θ 73.8, d = 1.284 Å, rel. 24, (4 0 4)
2θ 74.4, d = 1.276 Å, rel. 24, (2 1 7)
2θ 27.5, d = 3.242 Å, rel. 17, (1 1 2)
2θ 35.3, d = 2.544 Å, rel. 17, (0 0 4)
2θ 43.0, d = 2.103 Å, rel. 10, (2 2 0)
2θ 65.3, d = 1.428 Å, rel. 9, (4 1 1)

***

2.
# In5GaI7
Calculated X-ray diffraction stick pattern, Cu Kα, 1.54184 Å. Input: a DFT-relaxed cell (PBE, Alexandria).
No peak broadening, texture or thermal motion is included.

Crystal structure
Unit cell a=4.6990 b=8.2649 c=29.0043 alpha=90.02 beta=90.00 gamma=106.47
Space group P1 (No. 1)
Inequivalent atoms, fractional coordinates:
In 0.0000 0.0000 0.0000 (multiplicity 1)
In 0.9999 0.9997 0.1935 (multiplicity 1)
In 0.0747 0.1595 0.5000 (multiplicity 1)
In 0.0749 0.1596 0.6937 (multiplicity 1)
In 0.2688 0.5390 0.2690 (multiplicity 1)
In 0.2690 0.5394 0.9246 (multiplicity 1)
In 0.5370 0.0787 0.3468 (multiplicity 1)
In 0.5373 0.0795 0.8469 (multiplicity 1)
In 0.8054 0.6192 0.4245 (multiplicity 1)
In 0.8057 0.6198 0.7690 (multiplicity 1)
Ga 0.3354 0.6549 0.5968 (multiplicity 1)
Ga 0.7385 0.5049 0.0967 (multiplicity 1)
I 0.1036 0.2125 0.0968 (multiplicity 1)
I 0.1719 0.3501 0.3835 (multiplicity 1)
I 0.1722 0.3507 0.8100 (multiplicity 1)
I 0.3516 0.7015 0.1671 (multiplicity 1)
I 0.3519 0.7021 0.0265 (multiplicity 1)
I 0.4422 0.8937 0.4548 (multiplicity 1)
I 0.4424 0.8939 0.7388 (multiplicity 1)
I 0.6322 0.2649 0.2386 (multiplicity 1)
I 0.6325 0.2655 0.9551 (multiplicity 1)
I 0.7232 0.4575 0.6672 (multiplicity 1)
I 0.7231 0.4576 0.5264 (multiplicity 1)
I 0.9023 0.8079 0.3098 (multiplicity 1)
I 0.9025 0.8084 0.8837 (multiplicity 1)
I 0.9711 0.9471 0.5968 (multiplicity 1)

Top 12 peaks for 2θ from 10° to 80°, most intense first:
2θ 27.0, d = 3.300 Å, rel. 100, (1 -2 3)
2θ 24.2, d = 3.672 Å, rel. 70, (0 1 7)
2θ 26.1, d = 3.413 Å, rel. 65, (1 1 2)
2θ 36.9, d = 2.439 Å, rel. 37, (1 -1 10)
2θ 38.3, d = 2.349 Å, rel. 34, (2 -1 0)
2θ 37.6, d = 2.394 Å, rel. 30, (1 2 5)
2θ 34.2, d = 2.621 Å, rel. 27, (-1 1 9)
2θ 45.9, d = 1.979 Å, rel. 25, (2 0 7)
2θ 36.4, d = 2.471 Å, rel. 24, (1 2 4)
2θ 37.4, d = 2.404 Å, rel. 21, (0 3 5)
2θ 25.6, d = 3.486 Å, rel. 19, (-1 2 1)
2θ 54.6, d = 1.681 Å, rel. 17, (2 -4 5)

***

3.
# Tb8NiIr2
Calculated X-ray diffraction stick pattern, Cu Kα, 1.54184 Å. Input: a DFT-relaxed cell (PBE, Alexandria).
No peak broadening, texture or thermal motion is included.

Crystal structure
Unit cell a=8.4123 b=12.2972 c=6.0942 alpha=90.00 beta=109.13 gamma=90.00
Space group Cm (No. 8)
Inequivalent atoms, fractional coordinates:
Tb 0.0000 0.0000 0.0000 (multiplicity 2)
Tb 0.0697 0.3677 0.7965 (multiplicity 4)
Tb 0.1501 0.1324 0.5726 (multiplicity 4)
Tb 0.2147 0.5000 0.3825 (multiplicity 2)
Tb 0.3537 0.2075 0.1929 (multiplicity 4)
Ni 0.3568 0.0000 0.3799 (multiplicity 2)
Ir 0.3618 0.3144 0.6899 (multiplicity 4)

Top 12 peaks for 2θ from 10° to 80°, most intense first:
2θ 33.1, d = 2.710 Å, rel. 100, (3 1 -1)
2θ 31.0, d = 2.889 Å, rel. 96, (1 3 1)
2θ 40.0, d = 2.253 Å, rel. 50, (1 5 -1)
2θ 34.4, d = 2.607 Å, rel. 43, (0 2 2)
2θ 15.4, d = 5.758 Å, rel. 37, (0 0 1)
2θ 30.2, d = 2.956 Å, rel. 34, (1 1 -2)
2θ 35.1, d = 2.555 Å, rel. 34, (2 2 -2)
2θ 39.2, d = 2.299 Å, rel. 30, (3 3 -1)
2θ 31.3, d = 2.861 Å, rel. 29, (2 0 1)
2θ 26.7, d = 3.338 Å, rel. 28, (2 2 0)
2θ 40.5, d = 2.225 Å, rel. 27, (3 3 0)
2θ 37.0, d = 2.432 Å, rel. 23, (2 4 0)

***

4.
# Pm3Ag3Bi4
Calculated X-ray diffraction stick pattern, Cu Kα, 1.54184 Å. Input: a DFT-relaxed cell (PBE, Alexandria).
No peak broadening, texture or thermal motion is included.

Crystal structure
Unit cell a=10.3112 b=10.3112 c=10.3112 alpha=90.00 beta=90.00 gamma=90.00
Space group I-43d (No. 220)
Inequivalent atoms, fractional coordinates:
Pm 0.0000 0.2500 0.8750 (multiplicity 12)
Ag 0.0000 0.2500 0.3750 (multiplicity 12)
Bi 0.0884 0.4116 0.5884 (multiplicity 16)

Top 12 peaks for 2θ from 10° to 80°, most intense first:
2θ 32.5, d = 2.756 Å, rel. 100, (3 2 1)
2θ 27.4, d = 3.261 Å, rel. 29, (3 1 0)
2θ 39.1, d = 2.306 Å, rel. 22, (4 2 0)
2θ 43.0, d = 2.105 Å, rel. 19, (4 2 2)
2θ 44.8, d = 2.022 Å, rel. 14, (4 3 1)
2θ 60.9, d = 1.520 Å, rel. 11, (6 3 1)
2θ 56.4, d = 1.630 Å, rel. 11, (6 2 0)
2θ 54.9, d = 1.673 Å, rel. 10, (6 1 1)
2θ 48.3, d = 1.883 Å, rel. 10, (5 2 1)
2θ 63.8, d = 1.458 Å, rel. 10, (7 1 0)
2θ 68.0, d = 1.378 Å, rel. 8, (6 4 2)
2θ 62.4, d = 1.488 Å, rel. 7, (4 4 4)